[1]
Starting from a crystal structure in the Materials Project, relaxed with PBE, the X-ray powder pattern of CuH was simulated for copper Kα.
Peak positions follow from Bragg's law for the DFT cell and can differ from measured ones.

Principal peaks in the range 10° ≤ 2θ ≤ 90°, in order of rising 2θ:
2θ (°)	Rel. int.
36.4	262
39.4	268
41.6	1000
54.7	145
65.5	163
73.0	172
77.4	24
79.2	177
80.7	125
84.8	24

Cell and atoms:
Lattice parameters (Å, degrees): 2.8486 2.8486 4.5712 90.00 90.00 120.00
Fractional coordinates of all 4 atoms:
Cu 0.3333 0.6667 0.0000
Cu 0.6667 0.3333 0.5000
H 0.3333 0.6667 0.6205
H 0.6667 0.3333 0.1205

=====

[2]
Starting from a crystal structure in the Materials Project, relaxed with PBE, the X-ray powder pattern of CuH was simulated for copper Kα.
Peak positions follow from Bragg's law for the DFT cell and can differ from measured ones.

Principal peaks in the range 10° ≤ 2θ ≤ 90°, in order of rising 2θ:
2θ (°)	Rel. int.
18.9	42
36.5	264
38.4	269
41.5	1000
54.1	191
65.8	164
71.6	154
77.6	24
78.8	165
80.8	124

Cell and atoms:
Lattice parameters (Å, degrees): 2.8399 2.8399 4.6853 90.00 90.00 120.00
Fractional coordinates of all 4 atoms:
Cu 0.3333 0.6667 0.2764
Cu 0.6667 0.3333 0.7236
H 0.3333 0.6667 0.8134
H 0.6667 0.3333 0.1866